Diffraction record for Ti3MnFe2P6O24. The powder diffraction line list is computed, not measured: it uses a DFT-relaxed cell (PBE+U, Alexandria) and a wavelength of 1.5418 Å.
No peak broadening, texture or thermal motion is included.

Main lines, sorted by position (5 to 70 degrees two-theta):
- hkl 1 1 0, d 4.355, intensity 68.5
- hkl 2 -1 3, d 3.689, intensity 100.0
- hkl 2 0 2, d 3.546, intensity 17.3
- hkl 3 -1 1, d 2.824, intensity 14.5
- hkl 2 -1 6, d 2.714, intensity 65.1
- hkl 3 0 0, d 2.514, intensity 32.4
- hkl 3 -2 8, d 1.922, intensity 26.9
- hkl 4 -2 6, d 1.844, intensity 24.4
- hkl 4 1 0, d 1.646, intensity 19.7
- hkl 5 -1 6, d 1.487, intensity 16.8

Cell and atoms:
a b c (Å): 8.7094 8.7094 20.8177
angles (deg): 90.00 90.00 120.00
Space group R3 (No. 146, hexagonal axes)
Unique sites:
Ti 0.0000 0.0000 0.0000
Ti 0.0000 0.0000 0.2117
Ti 0.0000 0.0000 0.5039
Mn 0.0000 0.0000 0.7141
Fe 0.0000 0.0000 0.3558
Fe 0.0000 0.0000 0.8546
P 0.0017 0.2990 0.6088
P 0.0068 0.7121 0.1076
O 0.0004 0.8117 0.0462
O 0.0028 0.1755 0.2760
O 0.0288 0.8270 0.7870
O 0.0349 0.8358 0.1651
O 0.1215 0.4539 0.3375
O 0.1477 0.4788 0.2160
O 0.1714 0.4847 0.5988
O 0.1725 0.6892 0.0997